No. 1
Diffraction record for NiP2S6. The X-ray diffraction stick pattern is theoretical, not measured: it uses the GGA-PBE geometry in the Materials Project and Cu Kα X-rays.

Largest 6 diffraction maxima, in order of rising 2θ, 10° ≤ 2θ ≤ 90°:
13.18 deg, I 100, (0 0 1)
18.10 deg, I 42, (1 1 0)
31.03 deg, I 34, (2 0 -1)
35.54 deg, I 80, (1 3 1)
35.77 deg, I 46, (2 0 -2)
54.60 deg, I 46, (0 6 0)

Structural model:
```
data_NiP2S6
_chemical_formula_sum 'Ni2 P4 S12'
_space_group_name_H-M_alt 'C 1 2 1'
_space_group_IT_number 5
_cell_length_a 5.8243
_cell_length_b 10.0858
_cell_length_c 6.9733
_cell_angle_alpha 90.00
_cell_angle_beta 105.62
_cell_angle_gamma 90.00
loop_
_space_group_symop_operation_xyz
'x,y,z'
'-x,y,-z'
'x+1/2,y+1/2,z'
'-x+1/2,y+1/2,-z'
loop_
_atom_site_label
_atom_site_type_symbol
_atom_site_fract_x
_atom_site_fract_y
_atom_site_fract_z
Ni1 Ni 0.0000 0.0000 0.0000
P1 P 0.0529 0.3333 0.1625
S1 S 0.2185 0.1542 0.2334
S2 S 0.2280 0.9946 0.7675
S3 S 0.2346 0.8511 0.2323
```

No. 2
Diffraction record for NaEuSnSbO6. The X-ray diffraction stick pattern is theoretical, not measured: it uses the GGA-PBE geometry in the Materials Project and Cu Kα X-rays.

Largest 6 diffraction maxima, in order of rising 2θ, 10° ≤ 2θ ≤ 90°:
18.94 deg, I 24, (1 1 1)
31.17 deg, I 100, (2 2 0)
44.66 deg, I 33, (4 0 0)
55.47 deg, I 40, (4 2 2)
65.01 deg, I 20, (4 4 0)
73.85 deg, I 18, (6 2 0)

Structural model:
```
data_NaEuSnSbO6
_chemical_formula_sum 'Na4 Eu4 Sn4 Sb4 O24'
_space_group_name_H-M_alt 'F -4 3 m'
_space_group_IT_number 216
_space_group_name_Hall 'F -4 2 3'
_cell_length_a 8.1158
_cell_length_b 8.1158
_cell_length_c 8.1158
_cell_angle_alpha 90.00
_cell_angle_beta 90.00
_cell_angle_gamma 90.00
loop_
_atom_site_label
_atom_site_type_symbol
_atom_site_fract_x
_atom_site_fract_y
_atom_site_fract_z
Na1 Na 0.0000 0.0000 0.0000
Eu1 Eu 0.0000 0.0000 0.5000
Sn1 Sn 0.2500 0.2500 0.2500
Sb1 Sb 0.2500 0.2500 0.7500
O1 O 0.0037 0.2500 0.7500
```

No. 3
Diffraction record for Dy6Zn23. The X-ray diffraction stick pattern is theoretical, not measured: it uses the GGA-PBE geometry in the Materials Project and Cu Kα X-rays.

Largest 6 diffraction maxima, in order of rising 2θ, 10° ≤ 2θ ≤ 90°:
30.68 deg, I 17, (3 3 1)
34.60 deg, I 27, (4 2 2)
36.77 deg, I 75, (3 3 3)
40.16 deg, I 100, (4 4 0)
62.00 deg, I 20, (8 2 2)
74.31 deg, I 16, (9 3 3)

Structural model:
```
data_Dy6Zn23
_chemical_formula_sum 'Dy24 Zn92'
_space_group_name_H-M_alt 'F m -3 m'
_space_group_IT_number 225
_space_group_name_Hall '-F 4 2 3'
_cell_length_a 12.7006
_cell_length_b 12.7006
_cell_length_c 12.7006
_cell_angle_alpha 90.00
_cell_angle_beta 90.00
_cell_angle_gamma 90.00
loop_
_atom_site_label
_atom_site_type_symbol
_atom_site_fract_x
_atom_site_fract_y
_atom_site_fract_z
Dy1 Dy 0.0000 0.0000 0.2081
Zn1 Zn 0.0000 0.0000 0.5000
Zn2 Zn 0.0000 0.2500 0.2500
Zn3 Zn 0.1222 0.1222 0.3778
Zn4 Zn 0.1715 0.1715 0.1715
```

No. 4
Diffraction record for Ba3Bi2I2O5. The X-ray diffraction stick pattern is theoretical, not measured: it uses the GGA-PBE geometry in the Materials Project and Cu Kα X-rays.

Largest 6 diffraction maxima, in order of rising 2θ, 10° ≤ 2θ ≤ 90°:
27.08 deg, I 64, (1 1 0)
29.72 deg, I 100, (1 0 7)
38.67 deg, I 32, (2 0 0)
49.52 deg, I 49, (2 1 7)
54.32 deg, I 15, (1 1 14)
77.83 deg, I 13, (3 2 7)

Structural model:
```
data_Ba3Bi2I2O5
_chemical_formula_sum 'Ba6 Bi4 I4 O10'
_space_group_name_H-M_alt 'I 4/m m m'
_space_group_IT_number 139
_space_group_name_Hall '-I 4 2'
_cell_length_a 4.6570
_cell_length_b 4.6570
_cell_length_c 27.5441
_cell_angle_alpha 90.00
_cell_angle_beta 90.00
_cell_angle_gamma 90.00
loop_
_atom_site_label
_atom_site_type_symbol
_atom_site_fract_x
_atom_site_fract_y
_atom_site_fract_z
Ba1 Ba 0.0000 0.0000 0.0000
Ba2 Ba 0.0000 0.0000 0.1454
Bi1 Bi 0.0000 0.0000 0.4209
I1 I 0.0000 0.0000 0.2939
O1 O 0.0000 0.0000 0.5000
O2 O 0.0000 0.5000 0.0840
```

No. 5
Diffraction record for Na4Sc2P3O12. The X-ray diffraction stick pattern is theoretical, not measured: it uses the GGA-PBE geometry in the Materials Project and Cu Kα X-rays.

Largest 6 diffraction maxima, in order of rising 2θ, 10° ≤ 2θ ≤ 90°:
22.89 deg, I 51, (1 1 3)
29.62 deg, I 26, (2 1 1)
31.81 deg, I 100, (1 1 6)
33.35 deg, I 75, (3 0 0)
46.75 deg, I 44, (2 2 6)
58.64 deg, I 32, (4 1 6)

Structural model:
```
data_Na4Sc2P3O12
_chemical_formula_sum 'Na24 Sc12 P18 O72'
_space_group_name_H-M_alt 'R -3 c'
_space_group_IT_number 167
_space_group_name_Hall '-R 3 2"c'
_cell_length_a 9.3077
_cell_length_b 9.3077
_cell_length_c 21.1850
_cell_angle_alpha 90.00
_cell_angle_beta 90.00
_cell_angle_gamma 120.00
loop_
_atom_site_label
_atom_site_type_symbol
_atom_site_fract_x
_atom_site_fract_y
_atom_site_fract_z
Na1 Na 0.0000 0.0000 0.0000
Na2 Na 0.0000 0.3638 0.2500
Sc1 Sc 0.0000 0.0000 0.1559
P1 P 0.0000 0.3081 0.7500
O1 O 0.0087 0.1838 0.4148
O2 O 0.0136 0.2195 0.6902
```